For Pm2Y3Ho5, a structure optimized by DFT (GGA-PBE) gives the calculated powder XRD pattern in this record (Cu Kα (weighted mean of Kα1 and Kα2)).

Atomic structure:
```
Pm2Y3Ho5
1.0
5.3463 -7.9067 0.0000
5.3463 7.9067 0.0000
-5.3215 0.0000 7.7910
Pm Y Ho
4 6 10
direct
0.0193 0.2751 0.0484
0.2751 0.0193 0.5484
0.7249 0.9807 0.4516
0.9807 0.7249 0.9516
0.0198 0.9802 0.7500
0.2231 0.4737 0.4518
0.4737 0.2231 0.9518
0.5263 0.7769 0.0482
0.7769 0.5263 0.5482
0.9802 0.0198 0.2500
0.1309 0.3854 0.7618
0.2258 0.7742 0.7500
0.2739 0.7261 0.2500
0.3854 0.1309 0.2618
0.4752 0.5248 0.2500
0.5248 0.4752 0.7500
0.6146 0.8691 0.7382
0.7261 0.2739 0.7500
0.7742 0.2258 0.2500
0.8691 0.6146 0.2382
```

Main lines, sorted by position (2θ from 10° to 90°):
2θ (°), d_spacing, I/Imax
22.8, 3.895, 15
30.4, 2.943, 100
30.6, 2.925, 85
32.3, 2.775, 14
33.5, 2.673, 41
36.0, 2.497, 14
49.3, 1.850, 19
50.0, 1.825, 11
58.0, 1.590, 32
66.1, 1.413, 19


For Pm2YHo12, a structure optimized by DFT (GGA-PBE) gives the calculated powder XRD pattern in this record (Cu Kα (weighted mean of Kα1 and Kα2)).

Atomic structure:
```
Pm2YHo12
1.0
3.5434 -5.6274 0.0000
3.5434 5.6274 0.0000
-3.5345 0.0000 24.0830
Pm Y Ho
4 2 24
direct
0.0000 0.0000 0.0000
0.0197 0.0197 0.5410
0.4999 0.4999 0.9998
0.5224 0.5224 0.5410
0.1354 0.1354 0.2728
0.6351 0.6351 0.2719
0.0353 0.5349 0.0699
0.0514 0.5497 0.5985
0.1628 0.6612 0.8231
0.1676 0.6675 0.3365
0.1722 0.1722 0.8444
0.2029 0.2029 0.4061
0.3219 0.3219 0.1450
0.3464 0.8471 0.1950
0.3502 0.3502 0.6996
0.3572 0.8571 0.7128
0.4693 0.9693 0.9389
0.4849 0.9826 0.4673
0.5349 0.0353 0.0699
0.5497 0.0514 0.5985
0.6612 0.1628 0.8231
0.6675 0.1676 0.3365
0.6736 0.6736 0.8444
0.7021 0.7021 0.4045
0.8216 0.8216 0.1449
0.8471 0.3464 0.1950
0.8498 0.8498 0.6985
0.8571 0.3572 0.7128
0.9693 0.4693 0.9389
0.9826 0.4849 0.4673
```

Main lines, sorted by position (2θ from 10° to 90°):
2θ (°), d_spacing, I/Imax
30.5, 2.935, 40
31.3, 2.854, 24
31.8, 2.814, 53
31.9, 2.809, 100
33.8, 2.654, 31
45.3, 2.004, 18
45.5, 1.992, 14
51.6, 1.772, 14
56.7, 1.624, 34
61.9, 1.499, 16


For PmY6Ho6, a structure optimized by DFT (GGA-PBE) gives the calculated powder XRD pattern in this record (Cu Kα (weighted mean of Kα1 and Kα2)).

Atomic structure:
```
PmY6Ho6
1.0
6.6164 0.0000 0.0000
0.0000 10.9575 0.0000
-2.8396 0.0000 5.9775
Pm Y Ho
1 6 6
direct
0.0000 0.0000 0.0000
0.0000 0.2246 0.5000
0.0000 0.7754 0.5000
0.5000 0.2240 0.0000
0.5000 0.3091 0.5000
0.5000 0.6909 0.5000
0.5000 0.7760 0.0000
0.0000 0.3339 0.0000
0.0000 0.6661 0.0000
0.2555 0.5000 0.7449
0.3573 0.0000 0.6404
0.6427 0.0000 0.3596
0.7445 0.5000 0.2551
```

Main lines, sorted by position (2θ from 10° to 90°):
2θ (°), d_spacing, I/Imax
25.2, 3.535, 56
27.0, 3.298, 40
29.2, 3.058, 100
29.9, 2.988, 33
30.1, 2.971, 59
32.0, 2.797, 38
34.2, 2.624, 91
35.3, 2.540, 35
38.9, 2.313, 43
42.0, 2.151, 38